No. 1
For Re3PAu, a cell relaxed with GGA-PBE gives the calculated X-ray diffraction stick pattern in this record (Cu Kα X-rays).
No peak broadening, texture or thermal motion is included.

Structural model:
```
data_Re3PAu
_chemical_formula_sum 'Re3 P1 Au1'
_cell_length_a 4.380
_cell_length_b 4.380
_cell_length_c 4.380
_cell_angle_alpha 90.00
_cell_angle_beta 90.00
_cell_angle_gamma 90.00
_space_group_name_H-M_alt 'P 1'
_space_group_IT_number 1
_space_group_name_Hall 'P 1'
loop_
_atom_site_label
_atom_site_type_symbol
_atom_site_fract_x
_atom_site_fract_y
_atom_site_fract_z
Re1 Re 0.000 0.000 0.500
Re2 Re 0.000 0.500 0.000
Re3 Re 0.500 0.000 0.000
P1 P 0.000 0.000 0.000
Au1 Au 0.500 0.500 0.500
```

Main lines, in order of rising 2θ (10 to 90 degrees two-theta):
2θ/deg	d/Å	I (rel.)
35.50	2.529	100.0
41.22	2.190	58.6
59.71	1.549	39.8
71.42	1.321	40.4
75.13	1.264	13.7
89.50	1.095	6.9


No. 2
For RePAu2, a cell relaxed with GGA-PBE gives the calculated X-ray diffraction stick pattern in this record (Cu Kα X-rays).
No peak broadening, texture or thermal motion is included.

Structural model:
```
data_RePAu2
_chemical_formula_sum 'Re1 P1 Au2'
_cell_length_a 3.042
_cell_length_b 2.960
_cell_length_c 7.508
_cell_angle_alpha 90.00
_cell_angle_beta 101.54
_cell_angle_gamma 90.00
_space_group_name_H-M_alt 'P 1'
_space_group_IT_number 1
_space_group_name_Hall 'P 1'
loop_
_atom_site_label
_atom_site_type_symbol
_atom_site_fract_x
_atom_site_fract_y
_atom_site_fract_z
Re1 Re 0.000 0.000 0.000
P1 P 0.578 0.500 0.158
Au1 Au 0.365 0.500 0.726
Au2 Au 0.727 0.000 0.448
```

Main lines, in order of rising 2θ (10 to 90 degrees two-theta):
2θ/deg	d/Å	I (rel.)
12.03	7.356	23.6
32.61	2.746	25.0
34.70	2.585	100.0
39.06	2.306	94.7
43.08	2.100	87.5
73.78	1.284	23.3


No. 3
For Tb3P2Rh5Au2, a cell relaxed with GGA-PBE gives the calculated X-ray diffraction stick pattern in this record (Cu Kα X-rays).
No peak broadening, texture or thermal motion is included.

Structural model:
```
data_Tb3P2Rh5Au2
_chemical_formula_sum 'Tb3 P2 Rh5 Au2'
_cell_length_a 13.570
_cell_length_b 13.570
_cell_length_c 13.570
_cell_angle_alpha 162.93
_cell_angle_beta 162.93
_cell_angle_gamma 24.23
_space_group_name_H-M_alt 'P 1'
_space_group_IT_number 1
_space_group_name_Hall 'P 1'
loop_
_atom_site_label
_atom_site_type_symbol
_atom_site_fract_x
_atom_site_fract_y
_atom_site_fract_z
Tb1 Tb 0.000 0.000 0.000
Tb2 Tb 0.163 0.163 0.000
Tb3 Tb 0.837 0.837 0.000
P1 P 0.375 0.375 0.000
P2 P 0.625 0.625 0.000
Rh1 Rh 0.081 0.581 0.500
Rh2 Rh 0.419 0.919 0.500
Rh3 Rh 0.500 0.500 0.000
Rh4 Rh 0.581 0.081 0.500
Rh5 Rh 0.919 0.419 0.500
Au1 Au 0.277 0.277 0.000
Au2 Au 0.723 0.723 0.000
```

Main lines, in order of rising 2θ (10 to 90 degrees two-theta):
2θ/deg	d/Å	I (rel.)
32.15	2.784	54.5
32.43	2.760	75.2
34.27	2.617	56.1
37.56	2.394	96.3
37.82	2.379	75.3
45.02	2.014	100.0


No. 4
For SrPRuAu, a cell relaxed with GGA-PBE gives the calculated X-ray diffraction stick pattern in this record (Cu Kα X-rays).
No peak broadening, texture or thermal motion is included.

Structural model:
```
data_SrPRuAu
_chemical_formula_sum 'Sr1 P1 Ru1 Au1'
_cell_length_a 5.776
_cell_length_b 5.776
_cell_length_c 5.776
_cell_angle_alpha 141.19
_cell_angle_beta 132.97
_cell_angle_gamma 62.56
_space_group_name_H-M_alt 'P 1'
_space_group_IT_number 1
_space_group_name_Hall 'P 1'
loop_
_atom_site_label
_atom_site_type_symbol
_atom_site_fract_x
_atom_site_fract_y
_atom_site_fract_z
Sr1 Sr 0.000 0.000 0.000
P1 P 0.746 0.246 0.500
Ru1 Ru 0.632 0.632 0.000
Au1 Au 0.353 0.353 0.000
```

Main lines, in order of rising 2θ (10 to 90 degrees two-theta):
2θ/deg	d/Å	I (rel.)
30.30	2.949	100.0
33.46	2.678	77.8
35.95	2.498	62.0
39.09	2.304	34.6
54.14	1.694	38.1
59.23	1.560	30.1